DyTmMg2Au4: computed powder diffraction line list (Cu Kα (λ = 1.5418 Å)), based on a structure optimized by DFT (PBE).
Lines closer than 0.1° are merged.

Top 8 peaks for 10 to 80 degrees two-theta, in order of rising 2θ:
hkl, Position (°2θ), d [Å], I (rel.)
1 1 0, 22.40, 3.969, 20.0
1 0 1, 25.69, 3.468, 15.7
0 0 2, 36.55, 2.458, 26.0
2 0 0, 36.74, 2.446, 25.9
1 2 1, 37.16, 2.420, 100.0
2 0 2, 52.79, 1.734, 18.3
1 2 3, 66.20, 1.412, 18.5
3 2 1, 66.44, 1.407, 18.5

Lattice parameters (Å, degrees): 4.892 6.755 4.917 90.00 90.00 90.00
Sites, in units of the cell vectors:
Dy 0.000 0.000 0.000
Tm 0.500 0.500 0.514
Mg 0.000 0.500 0.004
Mg 0.500 0.000 0.508
Au 0.000 0.253 0.500
Au 0.000 0.747 0.500
Au 0.500 0.254 0.014
Au 0.500 0.746 0.014